No. 1
Starting from the GGA-PBE geometry in Alexandria, the XRD peak list of TmPa2RuC4 was computed for Cu Kα.
No peak broadening, texture or thermal motion is included.

Top 6 peaks for 10 to 90 degrees two-theta, by angle:
two_theta	I_rel
27.3	49
30.4	100
30.5	47
37.5	67
52.2	30
63.4	22

Crystal structure
```
TmPa2RuC4
1.0
1.7683 -5.8669 0.0000
1.7683 5.8669 0.0000
0.0000 0.0000 11.7750
Tm Pa Ru C
2 4 2 8
direct
0.1191 0.8809 0.7500
0.8809 0.1191 0.2500
0.3671 0.6329 0.5443
0.3671 0.6329 0.9557
0.6329 0.3671 0.0443
0.6329 0.3671 0.4557
0.1434 0.8566 0.2500
0.8566 0.1434 0.7500
0.0000 0.0000 0.0000
0.0000 0.0000 0.5000
0.2665 0.7335 0.1292
0.2665 0.7335 0.3708
0.4454 0.5546 0.7500
0.5546 0.4454 0.2500
0.7335 0.2665 0.6292
0.7335 0.2665 0.8708
```

***

No. 2
Starting from the GGA-PBE geometry in Alexandria, the XRD peak list of Te4Au2S was computed for Cu Kα.
No peak broadening, texture or thermal motion is included.

Top 6 peaks for 10 to 90 degrees two-theta, by angle:
two_theta	I_rel
12.8	87
14.0	65
26.0	90
27.9	100
29.6	95
38.5	73

Crystal structure
```
Te4Au2S
1.0
4.6773 -6.3995 0.0000
4.6773 6.3995 0.0000
-3.7760 0.0000 6.8576
Te Au S
8 4 2
direct
0.1778 0.7090 0.9727
0.2368 0.3238 0.6185
0.2910 0.8222 0.5273
0.3238 0.2368 0.1185
0.6762 0.7632 0.8815
0.7090 0.1778 0.4727
0.7632 0.6762 0.3815
0.8222 0.2910 0.0273
0.0000 0.5000 0.5000
0.5000 0.0000 0.0000
0.5000 0.5000 0.0000
0.5000 0.5000 0.5000
0.1180 0.8820 0.2500
0.8820 0.1180 0.7500
```